Starting from a GGA-PBE-relaxed structure, the X-ray powder pattern of NdP2N4 was calculated for a wavelength of 1.5418 Å.
Intensities are scaled so that the largest is 100.

Structure:
a = 5.5750 Å, b = 5.8334 Å, c = 5.9055 Å
α = 98.49°, β = 104.75°, γ = 111.42°
Fractional positions:
Nd 0.0000 0.0000 0.0000
Nd 0.2371 0.8260 0.5534
P 0.0845 0.3249 0.6261
P 0.5828 0.9427 0.2250
P 0.6060 0.4850 0.3489
P 0.6854 0.4097 0.8538
N 0.3466 0.2596 0.7819
N 0.4294 0.6593 0.2941
N 0.4601 0.1630 0.3147
N 0.5186 0.8806 0.9445
N 0.7645 0.6113 0.6584
N 0.8020 0.5323 0.1604
N 0.8682 0.2585 0.7936
N 0.9140 0.0565 0.3871

Most intense lines, 5 to 70 degrees two-theta, sorted by position:
| d [Å] | I (rel.) | index |
| --- | --- | --- |
| 5.233 | 100.0 | 0 1 0 |
| 3.434 | 73.1 | 1 -1 1 |
| 3.166 | 74.1 | 1 0 1 |
| 2.998 | 67.0 | 1 1 0 |
| 2.839 | 75.0 | 1 0 -2 |
| 2.675 | 64.1 | -2 1 1 |